Starting from a GGA-PBE-relaxed structure, the powder X-ray diffraction pattern of Tb3Sm8Dy was calculated for Cu Kα, 1.54184 Å.
No peak broadening, texture or thermal motion is included.

Peak list (8 most intense, 10° ≤ 2θ ≤ 90°, by intensity)
| h k l | d_spacing | 2θ (°) | I_rel |
| --- | --- | --- | --- |
| 0 2 3 | 2.790 | 32.1 | 100 |
| 0 4 0 | 2.998 | 29.8 | 30 |
| 2 0 1 | 2.986 | 29.9 | 30 |
| 2 4 1 | 2.116 | 42.7 | 23 |
| 0 6 3 | 1.688 | 54.3 | 23 |
| 0 0 6 | 1.578 | 58.5 | 14 |
| 2 2 4 | 1.685 | 54.4 | 11 |
| 4 2 -1 | 1.682 | 54.5 | 11 |

Cell and atoms:
Cell: 7.0244 11.9926 9.7524 Å, 90.00 103.93 90.00°
Space group C2/m (No. 12)
One atom of each set of equivalent atoms:
Tb (0.0000, 0.0000, 0.0000) x2
Tb (0.2500, 0.2500, 0.5000) x4
Sm (0.0735, 0.2510, 0.8339) x8
Sm (0.1774, 0.0000, 0.6674) x4
Sm (0.1775, 0.5000, 0.6653) x4
Dy (0.0000, 0.5000, 0.0000) x2

---

Starting from a GGA-PBE-relaxed structure, the powder X-ray diffraction pattern of Mn3PbI8 was calculated for Cu Kα, 1.54184 Å.
No peak broadening, texture or thermal motion is included.

Peak list (8 most intense, 10° ≤ 2θ ≤ 90°, by intensity)
| h k l | d_spacing | 2θ (°) | I_rel |
| --- | --- | --- | --- |
| 2 2 -2 | 3.123 | 28.6 | 100 |
| 0 0 1 | 7.521 | 11.8 | 65 |
| 0 4 0 | 2.153 | 42.0 | 53 |
| 4 0 0 | 3.088 | 28.9 | 50 |
| 2 2 2 | 2.241 | 40.2 | 36 |
| 2 2 0 | 3.532 | 25.2 | 29 |
| 4 0 -4 | 2.268 | 39.7 | 18 |
| 0 0 2 | 3.761 | 23.7 | 18 |

Cell and atoms:
Cell: 14.9226 8.6133 9.0870 Å, 90.00 124.14 90.00°
Space group C2/m (No. 12)
One atom of each set of equivalent atoms:
Mn (0.0000, 0.0000, 0.0000) x2
Mn (0.2500, 0.2500, 0.0000) x4
Pb (0.0000, 0.5000, 0.0000) x2
I (0.0123, 0.2300, 0.7728) x8
I (0.2401, 0.0000, 0.2151) x4
I (0.2423, 0.0000, 0.7731) x4

---

Starting from a GGA-PBE-relaxed structure, the powder X-ray diffraction pattern of AlCo4P was calculated for Cu Kα, 1.54184 Å.
No peak broadening, texture or thermal motion is included.

Peak list (8 most intense, 10° ≤ 2θ ≤ 90°, by intensity)
| h k l | d_spacing | 2θ (°) | I_rel |
| --- | --- | --- | --- |
| 3 1 1 | 1.991 | 45.6 | 100 |
| 2 2 2 | 1.906 | 47.7 | 66 |
| 1 1 1 | 3.812 | 23.3 | 53 |
| 5 1 1 | 1.271 | 74.7 | 28 |
| 4 4 0 | 1.167 | 82.7 | 27 |
| 4 0 0 | 1.650 | 55.7 | 18 |
| 2 2 0 | 2.334 | 38.6 | 10 |
| 3 3 1 | 1.515 | 61.2 | 10 |

Cell and atoms:
Cell: 6.6018 6.6018 6.6018 Å, 90.00 90.00 90.00°
Space group F-43m (No. 216)
One atom of each set of equivalent atoms:
Al (0.0000, 0.0000, 0.0000) x4
Co (0.1249, 0.1249, 0.6249) x16
P (0.2500, 0.2500, 0.2500) x4

---

Starting from a GGA-PBE-relaxed structure, the powder X-ray diffraction pattern of Nd2OsO6 was calculated for Cu Kα, 1.54184 Å.
No peak broadening, texture or thermal motion is included.

Peak list (8 most intense, 10° ≤ 2θ ≤ 90°, by intensity)
| h k l | d_spacing | 2θ (°) | I_rel |
| --- | --- | --- | --- |
| 1 1 1 | 2.912 | 30.7 | 100 |
| 0 1 1 | 4.791 | 18.5 | 99 |
| 1 1 -3 | 2.680 | 33.4 | 85 |
| 1 0 -2 | 4.238 | 21.0 | 59 |
| 2 0 -2 | 2.752 | 32.5 | 46 |
| 2 1 -1 | 2.463 | 36.5 | 45 |
| 0 0 4 | 1.898 | 47.9 | 35 |
| 0 2 1 | 2.861 | 31.3 | 33 |

Cell and atoms:
Cell: 5.5395 6.1761 8.9228 Å, 90.00 121.68 90.00°
Space group P2_1/c (No. 14)
One atom of each set of equivalent atoms:
Nd (0.2073, 0.0921, 0.2473) x4
Os (0.5000, 0.0000, 0.0000) x2
O (0.1504, 0.1557, 0.9474) x4
O (0.2927, 0.7294, 0.9270) x4
O (0.4060, 0.0545, 0.7639) x4